(1)
This entry pairs a crystal structure of Ca2ReP2 with its computed X-ray powder pattern. Radiation: a wavelength of 1.5418 Å. Structure: a structure optimized by DFT (PBE).
Intensities are scaled so that the largest is 100.

Structural model:
Cell: 6.3775 6.3775 4.5460 Å, 90.00 90.00 90.00°
Atoms (fractional coordinates):
Ca 0.1799 0.3201 0.0000
Ca 0.3201 0.8201 0.0000
Ca 0.6799 0.1799 0.0000
Ca 0.8201 0.6799 0.0000
Re 0.0000 0.0000 0.5000
Re 0.5000 0.5000 0.5000
P 0.1355 0.6355 0.5000
P 0.3645 0.1355 0.5000
P 0.6355 0.8645 0.5000
P 0.8645 0.3645 0.5000

Main lines, in order of rising 2θ (2θ from 10° to 80°):
2θ 19.53, rel. 50
2θ 19.69, rel. 72
2θ 27.87, rel. 96
2θ 34.35, rel. 100
2θ 37.22, rel. 33
2θ 39.65, rel. 34
2θ 39.99, rel. 30
2θ 44.93, rel. 77
2θ 49.44, rel. 46
2θ 61.46, rel. 44

***

(2)
This entry pairs a crystal structure of MgBeMo2 with its computed X-ray powder pattern. Radiation: a wavelength of 1.5418 Å. Structure: a structure optimized by DFT (PBE).
Intensities are scaled so that the largest is 100.

Structural model:
Cell: 2.6561 4.0518 5.7013 Å, 90.00 90.00 90.00°
Atoms (fractional coordinates):
Mg 0.0000 0.0000 0.0000
Be 0.5000 0.5000 0.7541
Mo 0.0000 0.0000 0.5222
Mo 0.5000 0.5000 0.2877

Main lines, in order of rising 2θ (2θ from 10° to 80°):
2θ 15.54, rel. 100
2θ 27.00, rel. 48
2θ 37.35, rel. 20
2θ 38.62, rel. 72
2θ 40.61, rel. 64
2θ 43.73, rel. 29
2θ 44.73, rel. 24
2θ 46.74, rel. 41
2θ 66.69, rel. 27
2θ 79.98, rel. 15

***

(3)
This entry pairs a crystal structure of K2BaAlH8 with its computed X-ray powder pattern. Radiation: a wavelength of 1.5418 Å. Structure: a structure optimized by DFT (PBE).
Intensities are scaled so that the largest is 100.

Structural model:
Cell: 4.6929 6.5530 7.2001 Å, 74.84 87.50 80.46°
Atoms (fractional coordinates):
K 0.0898 0.1004 0.2193
K 0.9102 0.8996 0.7807
Ba 0.5000 0.5000 0.5000
Al 0.5000 0.5000 0.0000
H 0.0510 0.2517 0.5366
H 0.1040 0.4991 0.0002
H 0.4420 0.7057 0.1164
H 0.4613 0.6886 0.7829
H 0.5387 0.3114 0.2171
H 0.5580 0.2943 0.8836
H 0.8960 0.5009 0.9998
H 0.9490 0.7483 0.4634

Main lines, in order of rising 2θ (2θ from 10° to 80°):
2θ 12.74, rel. 51
2θ 14.19, rel. 59
2θ 21.45, rel. 61
2θ 22.00, rel. 82
2θ 23.09, rel. 59
2θ 23.55, rel. 57
2θ 25.72, rel. 100
2θ 25.93, rel. 88
2θ 28.59, rel. 37
2θ 32.21, rel. 80

***

(4)
This entry pairs a crystal structure of Ba4Ga2Br5 with its computed X-ray powder pattern. Radiation: a wavelength of 1.5418 Å. Structure: a structure optimized by DFT (PBE).
Intensities are scaled so that the largest is 100.

Structural model:
Cell: 11.3155 11.3155 8.4337 Å, 95.04 95.04 24.93°
Atoms (fractional coordinates):
Ba 0.0517 0.0517 0.2633
Ba 0.3070 0.3070 0.2598
Ba 0.6930 0.6930 0.7402
Ba 0.9483 0.9483 0.7367
Ga 0.4538 0.4538 0.4221
Ga 0.5462 0.5462 0.5779
Br 0.1739 0.1739 0.9975
Br 0.1850 0.1850 0.4729
Br 0.5000 0.5000 0.0000
Br 0.8151 0.8151 0.5271
Br 0.8261 0.8261 0.0025

Main lines, in order of rising 2θ (2θ from 10° to 80°):
2θ 18.47, rel. 31
2θ 20.07, rel. 31
2θ 21.25, rel. 47
2θ 21.61, rel. 30
2θ 29.82, rel. 100
2θ 31.38, rel. 55
2θ 32.55, rel. 29
2θ 35.92, rel. 22
2θ 36.39, rel. 21
2θ 36.81, rel. 40